Starting from a PBE-relaxed structure, the XRD peak list of Nd5Y2Mg was calculated for a wavelength of 1.5418 Å.

Cell and atoms:
```
8
Lattice="0.000 5.758 6.326 3.655 0.000 6.326 3.655 5.758 0.000" Properties=species:S:1:pos:R:3 pbc="T T T"
Nd 0.000 0.000 0.000
Nd 5.398 5.758 3.054
Nd 1.828 2.879 5.174
Nd 1.913 5.758 3.054
Nd 5.483 8.636 11.500
Y 3.655 2.980 8.306
Y 3.655 8.535 8.306
Mg 3.655 5.758 6.258
```

Principal peaks in the range 2θ from 5° to 70°, low angle first:
two_theta  d [Å]  Rel. int.
15.98  5.547  7
20.86  4.258  7
28.20  3.164  24
31.07  2.879  25
32.28  2.773  100
42.45  2.129  16
49.92  1.827  19
56.04  1.641  20
59.97  1.543  22
60.70  1.526  16